Starting from a crystal structure in the Materials Project, relaxed with PBE+U, the powder XRD pattern of CoSnH12O6F6 was simulated for λ = 1.5418 Å (Cu Kα).
Peak positions follow from Bragg's law for the DFT cell and can differ from measured ones.

Peak list (12 most intense, 2θ = 15–90°, by angle)
| two_theta | intensity |
| --- | --- |
| 17.86 | 100 |
| 20.39 | 66 |
| 22.46 | 9 |
| 27.23 | 17 |
| 28.84 | 14 |
| 32.76 | 41 |
| 41.47 | 10 |
| 45.48 | 23 |
| 45.85 | 11 |
| 48.48 | 15 |
| 49.59 | 11 |
| 52.79 | 16 |

Cell and atoms:
Cell lengths 6.6509, 6.6509, 6.6509 Å; angles 96.65, 96.65, 96.65 degrees
Sites, in units of the cell vectors:
Co 0.0000 0.0000 0.0000
Sn 0.5000 0.5000 0.5000
H 0.0438 0.3938 0.1971
H 0.1697 0.8083 0.3033
H 0.1917 0.6967 0.8303
H 0.1971 0.0438 0.3938
H 0.3033 0.1697 0.8083
H 0.3938 0.1971 0.0438
H 0.6062 0.8029 0.9562
H 0.6967 0.8303 0.1917
H 0.8029 0.9562 0.6062
H 0.8083 0.3033 0.1697
H 0.8303 0.1917 0.6967
H 0.9562 0.6062 0.8029
O 0.0611 0.7100 0.8834
O 0.1166 0.9389 0.2900
O 0.2900 0.1166 0.9389
O 0.7100 0.8834 0.0611
O 0.8834 0.0611 0.7100
O 0.9389 0.2900 0.1166
F 0.2448 0.5666 0.3431
F 0.3431 0.2448 0.5666
F 0.4334 0.6569 0.7552
F 0.5666 0.3431 0.2448
F 0.6569 0.7552 0.4334
F 0.7552 0.4334 0.6569

Starting from a crystal structure in the Materials Project, relaxed with PBE+U, the powder XRD pattern of Hf3CoF6 was simulated for λ = 1.5418 Å (Cu Kα).
Peak positions follow from Bragg's law for the DFT cell and can differ from measured ones.

Peak list (12 most intense, 2θ = 15–90°, by angle)
| two_theta | intensity |
| --- | --- |
| 17.61 | 73 |
| 25.73 | 51 |
| 25.95 | 57 |
| 26.19 | 100 |
| 28.57 | 35 |
| 33.52 | 24 |
| 35.66 | 79 |
| 38.09 | 22 |
| 38.61 | 23 |
| 39.08 | 18 |
| 43.44 | 22 |
| 58.50 | 25 |

Cell and atoms:
Cell lengths 5.0334, 5.0420, 12.5075 Å; angles 89.56, 87.94, 89.63 degrees
Sites, in units of the cell vectors:
Hf 0.0000 0.0000 0.0000
Hf 0.0000 0.5000 0.5000
Hf 0.5000 0.0000 0.5000
Co 0.0000 0.0000 0.5000
F 0.0048 0.5034 0.3459
F 0.0172 0.9209 0.8515
F 0.4920 0.0196 0.6539
F 0.5080 0.9804 0.3461
F 0.9828 0.0791 0.1485
F 0.9952 0.4966 0.6541

Starting from a crystal structure in the Materials Project, relaxed with PBE+U, the powder XRD pattern of Li2CoHgF6 was simulated for λ = 1.5418 Å (Cu Kα).
Peak positions follow from Bragg's law for the DFT cell and can differ from measured ones.

Peak list (12 most intense, 2θ = 15–90°, by angle)
| two_theta | intensity |
| --- | --- |
| 17.93 | 31 |
| 20.73 | 100 |
| 29.48 | 53 |
| 34.71 | 26 |
| 42.18 | 27 |
| 46.17 | 15 |
| 47.44 | 43 |
| 52.29 | 22 |
| 61.17 | 16 |
| 65.33 | 20 |
| 69.35 | 10 |
| 84.62 | 12 |

Cell and atoms:
Cell lengths 6.0604, 6.0604, 6.0604 Å; angles 60.00, 60.00, 60.00 degrees
Sites, in units of the cell vectors:
Li 0.2500 0.2500 0.2500
Li 0.7500 0.7500 0.7500
Co 0.0000 0.0000 0.0000
Hg 0.5000 0.5000 0.5000
F 0.2333 0.2333 0.7667
F 0.2333 0.7667 0.2333
F 0.2333 0.7667 0.7667
F 0.7667 0.2333 0.2333
F 0.7667 0.2333 0.7667
F 0.7667 0.7667 0.2333

Starting from a crystal structure in the Materials Project, relaxed with PBE+U, the powder XRD pattern of Na2CoHgF6 was simulated for λ = 1.5418 Å (Cu Kα).
Peak positions follow from Bragg's law for the DFT cell and can differ from measured ones.

Peak list (12 most intense, 2θ = 15–90°, by angle)
| two_theta | intensity |
| --- | --- |
| 18.02 | 35 |
| 20.83 | 100 |
| 29.63 | 97 |
| 34.89 | 35 |
| 42.40 | 42 |
| 46.41 | 22 |
| 47.69 | 42 |
| 52.58 | 38 |
| 61.51 | 25 |
| 65.70 | 19 |
| 69.75 | 19 |
| 85.14 | 21 |

Cell and atoms:
Cell lengths 6.0300, 6.0300, 6.0300 Å; angles 60.00, 60.00, 60.00 degrees
Sites, in units of the cell vectors:
Na 0.2500 0.2500 0.2500
Na 0.7500 0.7500 0.7500
Co 0.0000 0.0000 0.0000
Hg 0.5000 0.5000 0.5000
F 0.2234 0.2234 0.7766
F 0.2234 0.7766 0.2234
F 0.2234 0.7766 0.7766
F 0.7766 0.2234 0.2234
F 0.7766 0.2234 0.7766
F 0.7766 0.7766 0.2234

Starting from a crystal structure in the Materials Project, relaxed with PBE+U, the powder XRD pattern of K3CoF6 was simulated for λ = 1.5418 Å (Cu Kα).
Peak positions follow from Bragg's law for the DFT cell and can differ from measured ones.

Peak list (12 most intense, 2θ = 15–90°, by angle)
| two_theta | intensity |
| --- | --- |
| 17.31 | 20 |
| 20.02 | 22 |
| 28.46 | 100 |
| 35.04 | 13 |
| 40.68 | 65 |
| 45.74 | 6 |
| 50.40 | 31 |
| 53.69 | 7 |
| 58.89 | 34 |
| 66.69 | 19 |
| 74.04 | 9 |
| 81.14 | 18 |

Cell and atoms:
Cell lengths 6.2725, 6.2725, 6.2725 Å; angles 60.00, 60.00, 60.00 degrees
Sites, in units of the cell vectors:
K 0.0000 0.0000 0.0000
K 0.2500 0.2500 0.2500
K 0.7500 0.7500 0.7500
Co 0.5000 0.5000 0.5000
F 0.2821 0.2821 0.7179
F 0.2821 0.7179 0.2821
F 0.2821 0.7179 0.7179
F 0.7179 0.2821 0.2821
F 0.7179 0.2821 0.7179
F 0.7179 0.7179 0.2821

Starting from a crystal structure in the Materials Project, relaxed with PBE+U, the powder XRD pattern of K2CoF6 was simulated for λ = 1.5418 Å (Cu Kα).
Peak positions follow from Bragg's law for the DFT cell and can differ from measured ones.

Peak list (12 most intense, 2θ = 15–90°, by angle)
| two_theta | intensity |
| --- | --- |
| 18.37 | 100 |
| 30.22 | 73 |
| 35.60 | 25 |
| 37.24 | 39 |
| 43.27 | 68 |
| 53.68 | 23 |
| 57.23 | 18 |
| 62.85 | 35 |
| 66.09 | 13 |
| 71.31 | 14 |
| 79.37 | 10 |
| 87.21 | 14 |

Cell and atoms:
Cell lengths 5.9145, 5.9145, 5.9145 Å; angles 60.00, 60.00, 60.00 degrees
Sites, in units of the cell vectors:
K 0.2500 0.2500 0.2500
K 0.7500 0.7500 0.7500
Co 0.0000 0.0000 0.0000
F 0.2233 0.2233 0.7767
F 0.2233 0.7767 0.2233
F 0.2233 0.7767 0.7767
F 0.7767 0.2233 0.2233
F 0.7767 0.2233 0.7767
F 0.7767 0.7767 0.2233